Calculated powder XRD pattern of Rb7AgHg2 for CuKα, from a structure optimized by DFT (PBE).
No peak broadening, texture or thermal motion is included.

Structural model:
a = 20.665 Å, b = 9.883 Å, c = 12.725 Å
α = 90.00°, β = 120.55°, γ = 90.00°
Space group C2/c (No. 15)
Unique sites:
Rb 0.000 0.100 0.250 x4
Rb 0.090 0.315 0.595 x8
Rb 0.141 0.232 0.999 x8
Rb 0.196 0.387 0.359 x8
Ag 0.000 0.495 0.250 x4
Hg 0.197 0.003 0.299 x8

Largest 10 diffraction maxima, in order of rising 2θ, 2θ from 10° to 90°:
two_theta	d_spacing	I (rel.)	hkl
17.91	4.952	42	0 2 0
23.78	3.741	38	5 1 -1
23.97	3.713	68	1 1 -3
24.25	3.670	90	0 2 2
25.89	3.442	42	6 0 -2
26.97	3.306	34	4 2 0
29.54	3.024	30	3 1 -4
31.21	2.865	31	6 0 -4
31.32	2.856	64	3 3 -2
31.70	2.823	100	4 0 2